Starting from a GGA-PBE-relaxed structure, the X-ray powder pattern of Nd3Er4I2 was simulated for Cu Kα (λ = 1.5418 Å).
No peak broadening, texture or thermal motion is included.

Peak list (10 most intense, 2θ from 10° to 80°, low angle first)
2θ = 29.89°, intensity 44; 2θ = 30.26°, intensity 100; 2θ = 32.36°, intensity 61; 2θ = 34.00°, intensity 72; 2θ = 38.03°, intensity 31; 2θ = 46.93°, intensity 17; 2θ = 55.96°, intensity 39; 2θ = 56.64°, intensity 15; 2θ = 59.21°, intensity 29; 2θ = 63.53°, intensity 12

Crystal structure
a = 9.1332 Å, b = 9.1332 Å, c = 3.8723 Å
α = 90.00°, β = 90.00°, γ = 120.00°
Fractional positions:
Nd (0.0149, 0.6196, 0.0000)
Nd (0.3804, 0.3953, 0.0000)
Nd (0.6047, 0.9851, 0.0000)
Er (0.2770, 0.0072, 0.5000)
Er (0.6667, 0.3333, 0.5000)
Er (0.7302, 0.7230, 0.5000)
Er (0.9928, 0.2698, 0.5000)
I (0.0000, 0.0000, 0.0000)
I (0.3333, 0.6667, 0.5000)



Starting from a GGA-PBE-relaxed structure, the X-ray powder pattern of ErNpI6 was simulated for Cu Kα (λ = 1.5418 Å).
No peak broadening, texture or thermal motion is included.

Peak list (10 most intense, 2θ from 10° to 80°, low angle first)
2θ = 12.13°, intensity 50; 2θ = 13.83°, intensity 24; 2θ = 23.41°, intensity 27; 2θ = 24.43°, intensity 31; 2θ = 28.23°, intensity 100; 2θ = 28.41°, intensity 49; 2θ = 40.48°, intensity 92; 2θ = 50.00°, intensity 20; 2θ = 50.18°, intensity 19; 2θ = 66.21°, intensity 25

Crystal structure
a = 7.7165 Å, b = 13.3756 Å, c = 7.7176 Å
α = 90.00°, β = 108.99°, γ = 90.00°
Fractional positions:
Er (0.0000, 0.0000, 0.0000)
Er (0.5000, 0.5000, 0.0000)
Np (0.0000, 0.3323, 0.0000)
Np (0.5000, 0.8323, 0.0000)
I (0.2253, 0.1613, 0.2459)
I (0.2400, 0.9930, 0.7591)
I (0.2462, 0.8439, 0.2410)
I (0.2538, 0.3439, 0.7590)
I (0.2600, 0.4930, 0.2409)
I (0.2747, 0.6613, 0.7541)
I (0.7253, 0.6613, 0.2459)
I (0.7400, 0.4930, 0.7591)
I (0.7462, 0.3439, 0.2410)
I (0.7538, 0.8439, 0.7590)
I (0.7600, 0.9930, 0.2409)
I (0.7747, 0.1613, 0.7541)



Starting from a GGA-PBE-relaxed structure, the X-ray powder pattern of ErTmI2O2 was simulated for Cu Kα (λ = 1.5418 Å).
No peak broadening, texture or thermal motion is included.

Peak list (10 most intense, 2θ from 10° to 80°, low angle first)
2θ = 30.09°, intensity 100; 2θ = 32.62°, intensity 44; 2θ = 37.32°, intensity 21; 2θ = 46.80°, intensity 20; 2θ = 51.79°, intensity 14; 2θ = 56.65°, intensity 33; 2θ = 60.49°, intensity 13; 2θ = 61.33°, intensity 10; 2θ = 76.40°, intensity 15; 2θ = 77.80°, intensity 7

Crystal structure
a = 3.8823 Å, b = 3.8823 Å, c = 9.2190 Å
α = 90.00°, β = 90.00°, γ = 90.00°
Fractional positions:
Er (0.0000, 0.0000, 0.0000)
Tm (0.5000, 0.5000, 0.7678)
I (0.0000, 0.0000, 0.5613)
I (0.5000, 0.5000, 0.2063)
O (0.0000, 0.5000, 0.8827)
O (0.5000, 0.0000, 0.8827)



Starting from a GGA-PBE-relaxed structure, the X-ray powder pattern of PrEr2I2 was simulated for Cu Kα (λ = 1.5418 Å).
No peak broadening, texture or thermal motion is included.

Peak list (10 most intense, 2θ from 10° to 80°, low angle first)
2θ = 21.98°, intensity 42; 2θ = 27.59°, intensity 27; 2θ = 28.64°, intensity 23; 2θ = 30.24°, intensity 27; 2θ = 30.68°, intensity 26; 2θ = 30.84°, intensity 31; 2θ = 33.60°, intensity 100; 2θ = 37.03°, intensity 22; 2θ = 46.77°, intensity 32; 2θ = 52.74°, intensity 28

Crystal structure
a = 8.7771 Å, b = 8.7771 Å, c = 8.7771 Å
α = 130.59°, β = 67.72°, γ = 136.77°
Fractional positions:
Pr (0.0000, 0.0000, 0.0000)
Pr (0.5000, 0.5000, 0.0000)
Er (0.0146, 0.6194, 0.1266)
Er (0.4929, 0.8880, 0.8734)
Er (0.5146, 0.3880, 0.3952)
Er (0.9929, 0.1194, 0.6048)
I (0.1635, 0.9100, 0.5761)
I (0.3339, 0.5874, 0.4239)
I (0.6635, 0.0874, 0.2535)
I (0.8339, 0.4100, 0.7465)